# K3TiO4F3
Theoretical powder diffraction line list, CuKα. Input: a DFT-relaxed cell (GGA-PBE, the Materials Project).
Peak positions follow from Bragg's law for the DFT cell and can differ from measured ones.

Peak list (10 most intense, 2θ from 10° to 90°, sorted by position)
d 5.158, 2θ 17.19, intensity 51.0; d 3.268, 2θ 27.29, intensity 54.5; d 3.151, 2θ 28.32, intensity 100.0; d 3.067, 2θ 29.12, intensity 66.8; d 2.478, 2θ 36.25, intensity 42.7; d 2.383, 2θ 37.75, intensity 28.5; d 2.244, 2θ 40.18, intensity 69.3; d 2.100, 2θ 43.08, intensity 32.7; d 1.903, 2θ 47.81, intensity 32.7; d 1.828, 2θ 49.89, intensity 30.4

Structural model:
```
K3TiO4F3
1.0
4.766 -4.200 0.000
4.766 4.200 0.000
0.000 0.000 8.977
K Ti O F
6 2 8 6
Direct
0.202 0.798 0.750 K
0.298 0.298 0.000 K
0.298 0.298 0.500 K
0.702 0.702 0.000 K
0.702 0.702 0.500 K
0.798 0.202 0.250 K
0.241 0.759 0.250 Ti
0.759 0.241 0.750 Ti
0.030 0.552 0.250 O
0.065 0.222 0.750 O
0.222 0.065 0.250 O
0.448 0.970 0.250 O
0.552 0.030 0.750 O
0.778 0.935 0.750 O
0.935 0.778 0.250 O
0.970 0.448 0.750 O
0.262 0.738 0.032 F
0.262 0.738 0.468 F
0.480 0.520 0.250 F
0.520 0.480 0.750 F
0.738 0.262 0.532 F
0.738 0.262 0.968 F
```

***

# CuPd3
Theoretical powder diffraction line list, CuKα. Input: a DFT-relaxed cell (GGA-PBE, the Materials Project).
Peak positions follow from Bragg's law for the DFT cell and can differ from measured ones.

Peak list (10 most intense, 2θ from 10° to 90°, sorted by position)
d 3.948, 2θ 22.52, intensity 1.2; d 3.456, 2θ 25.78, intensity 3.3; d 2.239, 2θ 40.29, intensity 100.0; d 1.974, 2θ 45.97, intensity 17.0; d 1.922, 2θ 47.30, intensity 31.2; d 1.377, 2θ 68.09, intensity 20.2; d 1.359, 2θ 69.13, intensity 9.6; d 1.184, 2θ 81.21, intensity 12.2; d 1.162, 2θ 83.16, intensity 23.1; d 1.119, 2θ 87.06, intensity 10.4

Structural model:
```
CuPd3
1.0
-1.922 1.922 3.948
1.922 -1.922 3.948
1.922 1.922 -3.948
Cu Pd
1 3
Direct
0.000 0.000 0.000 Cu
0.250 0.750 0.500 Pd
0.500 0.500 0.000 Pd
0.750 0.250 0.500 Pd
```

***

# YSbO4
Theoretical powder diffraction line list, CuKα. Input: a DFT-relaxed cell (GGA-PBE, the Materials Project).
Peak positions follow from Bragg's law for the DFT cell and can differ from measured ones.

Peak list (10 most intense, 2θ from 10° to 90°, sorted by position)
d 3.793, 2θ 23.45, intensity 24.5; d 3.747, 2θ 23.75, intensity 23.3; d 3.157, 2θ 28.27, intensity 79.8; d 3.081, 2θ 28.98, intensity 100.0; d 3.058, 2θ 29.20, intensity 68.2; d 2.970, 2θ 30.09, intensity 19.2; d 2.707, 2θ 33.09, intensity 35.2; d 2.476, 2θ 36.28, intensity 17.9; d 1.890, 2θ 48.15, intensity 21.1; d 1.808, 2θ 50.46, intensity 31.7

Structural model:
```
YSbO4
1.0
5.417 0.000 0.000
0.054 7.590 0.000
0.265 1.222 7.586
Y Sb O
4 4 16
Direct
0.214 0.392 0.341 Y
0.262 0.887 0.365 Y
0.738 0.113 0.635 Y
0.786 0.608 0.659 Y
0.242 0.304 0.837 Sb
0.273 0.807 0.834 Sb
0.727 0.193 0.166 Sb
0.758 0.696 0.163 Sb
0.005 0.880 0.668 O
0.046 0.322 0.616 O
0.083 0.809 0.062 O
0.130 0.560 0.829 O
0.389 0.058 0.825 O
0.404 0.305 0.069 O
0.463 0.624 0.310 O
0.487 0.821 0.611 O
0.513 0.179 0.389 O
0.537 0.376 0.690 O
0.596 0.695 0.931 O
0.611 0.942 0.175 O
0.870 0.440 0.171 O
0.917 0.191 0.938 O
0.954 0.678 0.384 O
0.995 0.120 0.332 O
```

***

# Te4Mo3WSe4
Theoretical powder diffraction line list, CuKα. Input: a DFT-relaxed cell (GGA-PBE, the Materials Project).
Peak positions follow from Bragg's law for the DFT cell and can differ from measured ones.

Peak list (10 most intense, 2θ from 10° to 90°, sorted by position)
d 7.821, 2θ 11.31, intensity 100.0; d 6.517, 2θ 13.59, intensity 16.8; d 2.974, 2θ 30.04, intensity 58.4; d 2.542, 2θ 35.30, intensity 97.8; d 2.456, 2θ 36.59, intensity 15.9; d 2.116, 2θ 42.74, intensity 64.5; d 2.037, 2θ 44.48, intensity 21.9; d 1.718, 2θ 53.32, intensity 40.7; d 1.424, 2θ 65.56, intensity 15.7; d 1.263, 2θ 75.24, intensity 18.8

Structural model:
```
Te4Mo3WSe4
1.0
3.437 0.000 0.000
-1.719 2.977 0.000
0.000 0.000 39.104
Te Mo W Se
4 3 1 4
Direct
0.000 0.000 0.000 Te
0.000 0.000 0.095 Te
0.333 0.667 0.812 Te
0.333 0.667 0.907 Te
0.000 0.000 0.484 Mo
0.000 0.000 0.860 Mo
0.333 0.667 0.048 Mo
0.333 0.667 0.672 W
0.000 0.000 0.630 Se
0.000 0.000 0.714 Se
0.333 0.667 0.442 Se
0.333 0.667 0.526 Se
```